1.
KNa3Al4Si4O16: calculated powder diffraction line list (a wavelength of 1.5418 Å), based on a DFT-relaxed cell (PBE, Alexandria).

Most intense lines, 10 to 90 degrees two-theta, in order of rising 2θ:
2θ/deg, I/Imax, index
20.9, 37, 0 0 2
22.8, 67, 2 0 1
26.9, 49, 2 1 0
29.2, 100, 2 0 2
30.6, 47, 3 0 0
34.3, 25, 2 1 2
35.4, 19, 2 2 0
36.9, 18, 1 3 0
37.8, 39, 2 0 3
38.5, 25, 3 1 1
58.1, 27, 2 0 5
66.5, 26, 2 5 0

```
data_KNa3Al4Si4O16
_chemical_formula_sum 'K2 Na6 Al8 Si8 O32'
_cell_length_a 10.1324
_cell_length_b 10.1324
_cell_length_c 8.5107
_cell_angle_alpha 90.00
_cell_angle_beta 90.00
_cell_angle_gamma 120.00
_space_group_name_H-M_alt 'P 63'
_space_group_IT_number 173
loop_
_space_group_symop_operation_xyz
'x,y,z'
'x-y,x,z+1/2'
'-y,x-y,z'
'-x,-y,z+1/2'
'-x+y,-x,z'
'y,-x+y,z+1/2'
loop_
_atom_site_label
_atom_site_type_symbol
_atom_site_fract_x
_atom_site_fract_y
_atom_site_fract_z
K1 K 0.0000 0.0000 0.0000
Na1 Na 0.0065 0.4495 0.4949
Al1 Al 0.0926 0.3321 0.8065
Al2 Al 0.3333 0.6667 0.2966
Si1 Si 0.0934 0.3330 0.1790
Si2 Si 0.3333 0.6667 0.6917
O1 O 0.0243 0.3134 0.0006
O2 O 0.0420 0.7786 0.8011
O3 O 0.0590 0.7746 0.1761
O4 O 0.1605 0.5098 0.2342
O5 O 0.1716 0.5241 0.7532
O6 O 0.3333 0.6667 0.5009
```


2.
Cs2SrLi2F7: calculated powder diffraction line list (a wavelength of 1.5418 Å), based on a DFT-relaxed cell (PBE, Alexandria).

Most intense lines, 10 to 90 degrees two-theta, in order of rising 2θ:
2θ/deg, I/Imax, index
21.7, 52, 1 1 0
21.8, 58, 1 1 -1
23.7, 82, 0 0 3
24.4, 37, 1 1 1
29.0, 72, 1 1 2
29.5, 65, 1 1 -3
30.4, 58, 2 0 -1
30.5, 57, 0 2 0
38.5, 51, 2 0 2
39.0, 100, 0 2 3
39.4, 49, 2 0 -4
43.6, 89, 2 2 -1

```
data_Cs2SrLi2F7
_chemical_formula_sum 'Cs4 Sr2 Li4 F14'
_cell_length_a 5.8818
_cell_length_b 5.8532
_cell_length_c 11.5642
_cell_angle_alpha 90.00
_cell_angle_beta 103.44
_cell_angle_gamma 90.00
_space_group_name_H-M_alt 'C 1 2/m 1'
_space_group_IT_number 12
loop_
_space_group_symop_operation_xyz
'x,y,z'
'-x,-y,-z'
'-x,y,-z'
'x,-y,z'
'x+1/2,y+1/2,z'
'-x+1/2,-y+1/2,-z'
'-x+1/2,y+1/2,-z'
'x+1/2,-y+1/2,z'
loop_
_atom_site_label
_atom_site_type_symbol
_atom_site_fract_x
_atom_site_fract_y
_atom_site_fract_z
Cs1 Cs 0.1824 0.0000 0.3564
Sr1 Sr 0.0000 0.0000 0.0000
Li1 Li 0.0923 0.5000 0.1742
F1 F 0.0000 0.5000 0.0000
F2 F 0.1657 0.2510 0.8508
F3 F 0.1830 0.5000 0.3560
```


3.
Ti3Ge: calculated powder diffraction line list (a wavelength of 1.5418 Å), based on a DFT-relaxed cell (PBE, Alexandria).

Most intense lines, 10 to 90 degrees two-theta, in order of rising 2θ:
2θ/deg, I/Imax, index
26.1, 33, 2 1 1
36.2, 73, 3 2 1
37.1, 57, 1 1 2
37.3, 49, 3 3 0
39.2, 19, 2 0 2
39.4, 49, 2 4 0
40.4, 100, 4 1 1
43.1, 64, 2 2 2
45.0, 47, 1 3 2
45.2, 43, 5 1 0
47.8, 28, 4 3 1
75.4, 26, 1 7 2

```
data_Ti3Ge
_chemical_formula_sum 'Ti24 Ge8'
_cell_length_a 10.2291
_cell_length_b 10.2291
_cell_length_c 5.1468
_cell_angle_alpha 90.00
_cell_angle_beta 90.00
_cell_angle_gamma 90.00
_space_group_name_H-M_alt 'I -4'
_space_group_IT_number 82
loop_
_space_group_symop_operation_xyz
'x,y,z'
'y,-x,-z'
'-x,-y,z'
'-y,x,-z'
'x+1/2,y+1/2,z+1/2'
'y+1/2,-x+1/2,-z+1/2'
'-x+1/2,-y+1/2,z+1/2'
'-y+1/2,x+1/2,-z+1/2'
loop_
_atom_site_label
_atom_site_type_symbol
_atom_site_fract_x
_atom_site_fract_y
_atom_site_fract_z
Ti1 Ti 0.0276 0.3563 0.4808
Ti2 Ti 0.0828 0.8926 0.2892
Ti3 Ti 0.1846 0.7829 0.7406
Ge1 Ge 0.0364 0.2906 0.9755
```


4.
FeGe4H24C8S10N2: calculated powder diffraction line list (a wavelength of 1.5418 Å), based on a DFT-relaxed cell (PBE, Alexandria).

Most intense lines, 10 to 90 degrees two-theta, in order of rising 2θ:
2θ/deg, I/Imax, index
11.0, 100, 1 0 1
17.8, 45, 1 1 2
21.4, 18, 2 1 1
22.1, 30, 2 0 2
27.6, 52, 2 1 3
28.8, 9, 2 2 2
31.7, 16, 3 1 2
38.5, 14, 3 1 4
46.0, 14, 2 3 5
47.9, 20, 1 3 6
51.2, 10, 5 2 1
61.3, 8, 2 1 9

```
data_FeGe4H24C8S10N2
_chemical_formula_sum 'Fe2 Ge8 H48 C16 S20 N4'
_cell_length_a 9.6757
_cell_length_b 9.6757
_cell_length_c 14.5303
_cell_angle_alpha 90.00
_cell_angle_beta 90.00
_cell_angle_gamma 90.00
_space_group_name_H-M_alt 'I -4'
_space_group_IT_number 82
loop_
_space_group_symop_operation_xyz
'x,y,z'
'y,-x,-z'
'-x,-y,z'
'-y,x,-z'
'x+1/2,y+1/2,z+1/2'
'y+1/2,-x+1/2,-z+1/2'
'-x+1/2,-y+1/2,z+1/2'
'-y+1/2,x+1/2,-z+1/2'
loop_
_atom_site_label
_atom_site_type_symbol
_atom_site_fract_x
_atom_site_fract_y
_atom_site_fract_z
Fe1 Fe 0.0000 0.0000 0.0000
Ge1 Ge 0.0587 0.3206 0.1612
H1 H 0.0120 0.8486 0.6034
H2 H 0.0322 0.1537 0.3976
H3 H 0.0422 0.7130 0.7352
H4 H 0.0679 0.3613 0.6476
H5 H 0.1039 0.3846 0.8526
H6 H 0.1436 0.8349 0.5159
C1 C 0.0244 0.6237 0.6903
C2 C 0.0841 0.9056 0.5596
S1 S 0.0000 0.5000 0.0682
S2 S 0.1236 0.7432 0.2486
S3 S 0.1432 0.1481 0.0792
N1 N 0.0000 0.0000 0.5000
N2 N 0.0000 0.5000 0.7500
```


5.
DyTa2ReC4: calculated powder diffraction line list (a wavelength of 1.5418 Å), based on a DFT-relaxed cell (PBE, Alexandria).

Most intense lines, 10 to 90 degrees two-theta, in order of rising 2θ:
2θ/deg, I/Imax, index
28.6, 15, 0 2 3
31.6, 57, 0 4 0
31.9, 48, 0 0 4
32.9, 100, 1 1 2
40.0, 87, 1 3 2
43.4, 16, 0 2 5
45.5, 31, 0 4 4
51.9, 17, 1 5 2
56.9, 16, 2 0 0
66.5, 17, 2 4 0
66.7, 29, 2 0 4
78.6, 15, 1 7 5

```
data_DyTa2ReC4
_chemical_formula_sum 'Dy4 Ta8 Re4 C16'
_cell_length_a 3.2389
_cell_length_b 11.3366
_cell_length_c 11.2176
_cell_angle_alpha 90.00
_cell_angle_beta 90.00
_cell_angle_gamma 90.00
_space_group_name_H-M_alt 'C m c m'
_space_group_IT_number 63
_space_group_name_Hall '-C 2c 2'
loop_
_atom_site_label
_atom_site_type_symbol
_atom_site_fract_x
_atom_site_fract_y
_atom_site_fract_z
Dy1 Dy 0.0000 0.1119 0.2500
Ta1 Ta 0.0000 0.3708 0.0350
Re1 Re 0.0000 0.1531 0.7500
C1 C 0.0000 0.0000 0.0000
C2 C 0.0000 0.2627 0.6143
C3 C 0.0000 0.4488 0.2500
```


6.
Mg3H2Ir3: calculated powder diffraction line list (a wavelength of 1.5418 Å), based on a DFT-relaxed cell (PBE, Alexandria).

Most intense lines, 10 to 90 degrees two-theta, in order of rising 2θ:
2θ/deg, I/Imax, index
27.8, 59, 1 1 -1
28.2, 30, 2 0 1
39.4, 19, 2 0 -2
40.0, 100, 0 2 0
49.1, 11, 0 0 3
49.6, 13, 2 2 1
57.3, 13, 2 2 -2
58.2, 7, 4 0 2
71.8, 11, 1 1 -4
72.6, 17, 1 3 2
73.0, 7, 4 2 2
86.2, 6, 0 4 0

```
data_Mg3H2Ir3
_chemical_formula_sum 'Mg6 H4 Ir6'
_cell_length_a 7.8235
_cell_length_b 4.5125
_cell_length_c 5.5623
_cell_angle_alpha 90.00
_cell_angle_beta 91.17
_cell_angle_gamma 90.00
_space_group_name_H-M_alt 'C 1 2 1'
_space_group_IT_number 5
loop_
_space_group_symop_operation_xyz
'x,y,z'
'-x,y,-z'
'x+1/2,y+1/2,z'
'-x+1/2,y+1/2,-z'
loop_
_atom_site_label
_atom_site_type_symbol
_atom_site_fract_x
_atom_site_fract_y
_atom_site_fract_z
Mg1 Mg 0.0000 0.9997 0.0000
Mg2 Mg 0.1711 0.5000 0.6642
H1 H 0.2497 0.2498 0.9997
Ir1 Ir 0.0000 0.9999 0.5000
Ir2 Ir 0.1515 0.4998 0.1887
```


7.
In3Cl: calculated powder diffraction line list (a wavelength of 1.5418 Å), based on a DFT-relaxed cell (PBE, Alexandria).

Most intense lines, 10 to 90 degrees two-theta, in order of rising 2θ:
2θ/deg, I/Imax, index
22.5, 11, 0 1 1
31.3, 100, 1 1 0
33.7, 81, 0 1 2
35.0, 37, 0 2 0
39.0, 54, 1 0 2
53.4, 42, 1 2 2
60.4, 14, 1 3 0
62.0, 13, 0 3 2
64.4, 23, 2 1 2
65.2, 11, 2 2 0
68.8, 19, 1 1 4
86.9, 15, 3 1 0

```
data_In3Cl
_chemical_formula_sum 'In3 Cl1'
_cell_length_a 3.4489
_cell_length_b 5.1299
_cell_length_c 6.2109
_cell_angle_alpha 90.00
_cell_angle_beta 90.00
_cell_angle_gamma 90.00
_space_group_name_H-M_alt 'P m m m'
_space_group_IT_number 47
loop_
_space_group_symop_operation_xyz
'x,y,z'
'-x,-y,-z'
'-x,-y,z'
'x,y,-z'
'x,-y,-z'
'-x,y,z'
'-x,y,-z'
'x,-y,z'
loop_
_atom_site_label
_atom_site_type_symbol
_atom_site_fract_x
_atom_site_fract_y
_atom_site_fract_z
In1 In 0.0000 0.0000 0.0000
In2 In 0.5000 0.5000 0.2552
Cl1 Cl 0.0000 0.0000 0.5000
```


8.
ScGa7Pd4: calculated powder diffraction line list (a wavelength of 1.5418 Å), based on a DFT-relaxed cell (PBE, Alexandria).

Most intense lines, 10 to 90 degrees two-theta, in order of rising 2θ:
2θ/deg, I/Imax, index
20.7, 39, 1 1 0
30.2, 20, 3 1 -1
33.6, 29, 4 0 -3
37.1, 96, 0 2 0
39.6, 55, 2 0 -4
42.1, 100, 3 1 1
44.1, 75, 5 1 -3
47.1, 23, 1 1 -4
50.9, 18, 4 2 -3
55.3, 40, 2 2 -4
70.3, 21, 3 3 1
71.7, 17, 5 3 -3

```
data_ScGa7Pd4
_chemical_formula_sum 'Sc2 Ga14 Pd8'
_cell_length_a 11.5020
_cell_length_b 4.8514
_cell_length_c 9.3572
_cell_angle_alpha 90.00
_cell_angle_beta 126.63
_cell_angle_gamma 90.00
_space_group_name_H-M_alt 'C 1 2/m 1'
_space_group_IT_number 12
loop_
_space_group_symop_operation_xyz
'x,y,z'
'-x,-y,-z'
'-x,y,-z'
'x,-y,z'
'x+1/2,y+1/2,z'
'-x+1/2,-y+1/2,-z'
'-x+1/2,y+1/2,-z'
'x+1/2,-y+1/2,z'
loop_
_atom_site_label
_atom_site_type_symbol
_atom_site_fract_x
_atom_site_fract_y
_atom_site_fract_z
Sc1 Sc 0.0000 0.0000 0.0000
Ga1 Ga 0.0000 0.5000 0.0000
Ga2 Ga 0.0701 0.0000 0.3481
Ga3 Ga 0.1491 0.5000 0.5830
Ga4 Ga 0.2111 0.0000 0.8597
Pd1 Pd 0.0915 0.5000 0.8044
Pd2 Pd 0.2068 0.5000 0.3422
```


9.
Li2PuHgSb2: calculated powder diffraction line list (a wavelength of 1.5418 Å), based on a DFT-relaxed cell (PBE, Alexandria).

Most intense lines, 10 to 90 degrees two-theta, in order of rising 2θ:
2θ/deg, I/Imax, index
17.1, 17, 0 1 1
27.1, 34, 1 2 0
30.6, 12, 1 2 1
33.7, 24, 1 0 2
34.6, 29, 0 2 2
35.2, 100, 1 3 0
37.2, 24, 2 0 0
41.4, 13, 0 3 2
51.6, 19, 2 2 2
62.4, 11, 1 5 2
65.7, 17, 3 3 0
69.7, 15, 1 3 4

```
data_Li2PuHgSb2
_chemical_formula_sum 'Li4 Pu2 Hg2 Sb4'
_cell_length_a 4.8400
_cell_length_b 8.9779
_cell_length_c 6.3615
_cell_angle_alpha 90.00
_cell_angle_beta 90.00
_cell_angle_gamma 90.00
_space_group_name_H-M_alt 'P m c 21'
_space_group_IT_number 26
loop_
_space_group_symop_operation_xyz
'x,y,z'
'-x,-y,z+1/2'
'-x,y,z'
'x,-y,z+1/2'
loop_
_atom_site_label
_atom_site_type_symbol
_atom_site_fract_x
_atom_site_fract_y
_atom_site_fract_z
Li1 Li 0.0000 0.0006 0.0000
Li2 Li 0.5000 0.1530 0.7480
Pu1 Pu 0.5000 0.4997 0.4991
Hg1 Hg 0.0000 0.3262 0.2483
Sb1 Sb 0.0000 0.3130 0.7490
Sb2 Sb 0.5000 0.1527 0.2508
```


10.
Pa2Ni2H7: calculated powder diffraction line list (a wavelength of 1.5418 Å), based on a DFT-relaxed cell (PBE, Alexandria).

Most intense lines, 10 to 90 degrees two-theta, in order of rising 2θ:
2θ/deg, I/Imax, index
21.6, 44, 0 2 0
25.3, 30, 0 0 1
27.2, 25, 2 0 0
31.9, 56, 2 0 -1
33.5, 100, 0 2 1
35.0, 90, 2 2 0
38.9, 22, 2 2 -1
42.5, 27, 2 0 1
44.0, 25, 0 4 0
52.0, 20, 0 0 2
55.4, 24, 2 4 -1
56.9, 30, 2 2 -2

```
data_Pa2Ni2H7
_chemical_formula_sum 'Pa4 Ni4 H14'
_cell_length_a 6.8035
_cell_length_b 8.2365
_cell_length_c 3.6500
_cell_angle_alpha 90.00
_cell_angle_beta 105.63
_cell_angle_gamma 90.00
_space_group_name_H-M_alt 'C 1 2/m 1'
_space_group_IT_number 12
loop_
_space_group_symop_operation_xyz
'x,y,z'
'-x,-y,-z'
'-x,y,-z'
'x,-y,z'
'x+1/2,y+1/2,z'
'-x+1/2,-y+1/2,-z'
'-x+1/2,y+1/2,-z'
'x+1/2,-y+1/2,z'
loop_
_atom_site_label
_atom_site_type_symbol
_atom_site_fract_x
_atom_site_fract_y
_atom_site_fract_z
Pa1 Pa 0.0000 0.2469 0.0000
Ni1 Ni 0.2419 0.0000 0.5239
H1 H 0.0000 0.0000 0.5000
H2 H 0.1778 0.3257 0.6018
H3 H 0.1912 0.5000 0.0212
```


11.
Pa2PF: calculated powder diffraction line list (a wavelength of 1.5418 Å), based on a DFT-relaxed cell (PBE, Alexandria).

Most intense lines, 10 to 90 degrees two-theta, in order of rising 2θ:
2θ/deg, I/Imax, index
28.4, 98, 0 1 2
30.8, 26, 0 0 6
33.6, 100, 1 0 4
46.6, 41, 1 1 0
49.9, 32, 0 1 8
55.5, 16, 2 0 2
56.9, 29, 1 1 6
58.7, 21, 0 2 4
75.3, 14, 1 2 2
78.1, 18, 2 1 4
83.0, 14, 1 1 12
88.9, 13, 1 2 8

```
data_Pa2PF
_chemical_formula_sum 'Pa6 P3 F3'
_cell_length_a 3.8970
_cell_length_b 3.8970
_cell_length_c 17.4139
_cell_angle_alpha 90.00
_cell_angle_beta 90.00
_cell_angle_gamma 120.00
_space_group_name_H-M_alt 'R -3 m'
_space_group_IT_number 166
_space_group_name_Hall '-R 3 2"'
loop_
_atom_site_label
_atom_site_type_symbol
_atom_site_fract_x
_atom_site_fract_y
_atom_site_fract_z
Pa1 Pa 0.0000 0.0000 0.2450
P1 P 0.0000 0.0000 0.0000
F1 F 0.0000 0.0000 0.5000
```